Entry 1:
For Rb2SrF4, a DFT-relaxed cell (PBE, Alexandria) gives the theoretical powder diffraction line list in this record (Cu Kα).
Lines closer than 0.1° are merged.

Top 10 peaks for 2θ from 10° to 80°, sorted by position:
two_theta, d_spacing, I (rel.)
22.52, 3.949, 8
26.40, 3.376, 31
26.55, 3.357, 100
26.75, 3.332, 33
37.91, 2.373, 52
44.34, 2.043, 11
46.72, 1.944, 28
46.96, 1.935, 14
47.12, 1.929, 29
54.69, 1.678, 19

Atomic structure:
Cell: 6.6643 6.7514 14.2577 Å, 90.00 90.00 90.00°
Positions (direct):
Rb1 0.0061 0.0451 0.1544
Rb2 0.0061 0.4549 0.6544
Rb3 0.4939 0.5451 0.1544
Rb4 0.4939 0.9549 0.6544
Rb5 0.5061 0.0451 0.3456
Rb6 0.5061 0.4549 0.8456
Rb7 0.9939 0.5451 0.3456
Rb8 0.9939 0.9549 0.8456
Sr1 0.0000 0.0000 0.5000
Sr2 0.0000 0.5000 0.0000
Sr3 0.5000 0.0000 0.0000
Sr4 0.5000 0.5000 0.5000
F1 0.0832 0.0379 0.6633
F2 0.0832 0.4621 0.1633
F3 0.2083 0.2095 0.9702
F4 0.2083 0.2905 0.4702
F5 0.2917 0.7095 0.9702
F6 0.2917 0.7905 0.4702
F7 0.4168 0.5379 0.6633
F8 0.4168 0.9621 0.1633
F9 0.5832 0.0379 0.8367
F10 0.5832 0.4621 0.3367
F11 0.7083 0.2095 0.5298
F12 0.7083 0.2905 0.0298
F13 0.7917 0.7095 0.5298
F14 0.7917 0.7905 0.0298
F15 0.9168 0.5379 0.8367
F16 0.9168 0.9621 0.3367

=====

Entry 2:
For Rb2SrTbF6, a DFT-relaxed cell (PBE, Alexandria) gives the theoretical powder diffraction line list in this record (Cu Kα).
Lines closer than 0.1° are merged.

Top 10 peaks for 2θ from 10° to 80°, sorted by position:
two_theta, d_spacing, I (rel.)
16.17, 5.480, 9
18.70, 4.746, 11
26.56, 3.356, 100
37.91, 2.373, 38
42.59, 2.123, 5
46.89, 1.938, 42
54.70, 1.678, 25
61.82, 1.501, 19
68.48, 1.370, 8
74.86, 1.268, 22

Atomic structure:
Cell: 6.7097 6.7097 6.7097 Å, 60.05 60.05 60.05°
Positions (direct):
Rb1 0.2501 0.2501 0.2501
Rb2 0.7499 0.7499 0.7499
Sr1 0.0000 0.0000 0.0000
Tb1 0.5000 0.5000 0.5000
F1 0.2639 0.2639 0.7357
F2 0.2639 0.7357 0.2639
F3 0.2643 0.7361 0.7361
F4 0.7357 0.2639 0.2639
F5 0.7361 0.2643 0.7361
F6 0.7361 0.7361 0.2643

=====

Entry 3:
For Rb2Tb2F7, a DFT-relaxed cell (PBE, Alexandria) gives the theoretical powder diffraction line list in this record (Cu Kα).
Lines closer than 0.1° are merged.

Top 10 peaks for 2θ from 10° to 80°, sorted by position:
two_theta, d_spacing, I (rel.)
12.66, 6.994, 48
24.99, 3.563, 100
25.47, 3.497, 39
26.62, 3.348, 93
31.90, 2.805, 27
41.26, 2.188, 67
44.60, 2.031, 17
45.62, 1.989, 28
51.93, 1.761, 24
54.59, 1.681, 23

Atomic structure:
Cell: 5.6292 5.6292 6.9941 Å, 90.00 90.00 94.71°
Positions (direct):
Rb1 0.2390 0.2390 0.0000
Rb2 0.7610 0.7610 0.0000
Tb1 0.2280 0.7720 0.5000
Tb2 0.7720 0.2280 0.5000
F1 0.0000 0.0000 0.3183
F2 0.0000 0.0000 0.6817
F3 0.0000 0.5000 0.3149
F4 0.0000 0.5000 0.6851
F5 0.5000 0.0000 0.3149
F6 0.5000 0.0000 0.6851
F7 0.5000 0.5000 0.5000

=====

Entry 4:
For Rb3TbF6, a DFT-relaxed cell (PBE, Alexandria) gives the theoretical powder diffraction line list in this record (Cu Kα).
Lines closer than 0.1° are merged.

Top 10 peaks for 2θ from 10° to 80°, sorted by position:
two_theta, d_spacing, I (rel.)
15.37, 5.765, 28
24.77, 3.594, 96
25.45, 3.500, 100
35.31, 2.542, 27
37.27, 2.413, 21
44.03, 2.056, 59
45.27, 2.003, 36
52.28, 1.750, 17
57.66, 1.599, 16
70.38, 1.338, 17

Atomic structure:
Cell: 7.0086 7.0086 7.0086 Å, 118.29 118.29 92.98°
Positions (direct):
Rb1 0.0000 0.0000 0.0000
Rb2 0.2500 0.7500 0.5000
Rb3 0.7500 0.2500 0.5000
Tb1 0.5000 0.5000 0.0000
F1 0.1956 0.5000 0.6956
F2 0.2691 0.2691 0.0000
F3 0.5000 0.1956 0.6956
F4 0.5000 0.8044 0.3044
F5 0.7309 0.7309 0.0000
F6 0.8044 0.5000 0.3044

=====

Entry 5:
For RbTbZn2F8, a DFT-relaxed cell (PBE, Alexandria) gives the theoretical powder diffraction line list in this record (Cu Kα).
Lines closer than 0.1° are merged.

Top 10 peaks for 2θ from 10° to 80°, sorted by position:
two_theta, d_spacing, I (rel.)
10.12, 8.737, 12
19.43, 4.568, 10
23.50, 3.786, 100
33.47, 2.677, 73
39.47, 2.283, 12
41.30, 2.186, 26
48.06, 1.893, 13
54.17, 1.693, 46
59.83, 1.546, 34
75.30, 1.262, 17

Atomic structure:
Cell: 9.2683 9.2683 9.2683 Å, 33.59 33.59 33.59°
Positions (direct):
Rb1 0.0000 0.0000 0.0000
Tb1 0.5000 0.5000 0.5000
Zn1 0.2523 0.2523 0.2523
Zn2 0.7477 0.7477 0.7477
F1 0.1192 0.4622 0.7584
F2 0.2416 0.5378 0.8808
F3 0.3232 0.3232 0.3232
F4 0.4622 0.7584 0.1192
F5 0.5378 0.8808 0.2416
F6 0.6768 0.6768 0.6768
F7 0.7584 0.1192 0.4622
F8 0.8808 0.2416 0.5378

=====

Entry 6:
For Rb2TcF5, a DFT-relaxed cell (PBE, Alexandria) gives the theoretical powder diffraction line list in this record (Cu Kα).
Lines closer than 0.1° are merged.

Top 10 peaks for 2θ from 10° to 80°, sorted by position:
two_theta, d_spacing, I (rel.)
17.41, 5.093, 75
27.88, 3.200, 40
28.98, 3.081, 100
33.06, 2.709, 17
35.24, 2.547, 24
39.84, 2.262, 41
43.01, 2.103, 17
50.02, 1.824, 40
52.04, 1.757, 15
60.06, 1.540, 22

Atomic structure:
Cell: 6.3992 6.3992 8.4121 Å, 90.00 90.00 90.00°
Positions (direct):
Rb1 0.0000 0.5000 0.0000
Rb2 0.0000 0.5000 0.5000
Rb3 0.5000 0.0000 0.0000
Rb4 0.5000 0.0000 0.5000
Tc1 0.0000 0.0000 0.2543
Tc2 0.5000 0.5000 0.7543
F1 0.0000 0.0000 0.0039
F2 0.2196 0.2196 0.2632
F3 0.2196 0.7804 0.2632
F4 0.2804 0.2804 0.7632
F5 0.2804 0.7196 0.7632
F6 0.5000 0.5000 0.5039
F7 0.7196 0.2804 0.7632
F8 0.7196 0.7196 0.7632
F9 0.7804 0.2196 0.2632
F10 0.7804 0.7804 0.2632

=====

Entry 7:
For RbY2TcF, a DFT-relaxed cell (PBE, Alexandria) gives the theoretical powder diffraction line list in this record (Cu Kα).
Lines closer than 0.1° are merged.

Top 10 peaks for 2θ from 10° to 80°, sorted by position:
two_theta, d_spacing, I (rel.)
12.34, 7.170, 100
17.38, 5.103, 82
24.83, 3.585, 96
27.67, 3.223, 67
30.47, 2.934, 41
35.17, 2.552, 75
37.41, 2.404, 26
43.53, 2.079, 81
50.59, 1.804, 26
57.15, 1.612, 36

Atomic structure:
Cell: 5.1034 5.1034 7.1703 Å, 90.00 90.00 90.00°
Positions (direct):
Rb1 0.0000 0.0000 0.0000
Y1 0.0000 0.5000 0.5000
Y2 0.5000 0.0000 0.5000
Tc1 0.0000 0.0000 0.5000
F1 0.5000 0.5000 0.0000

=====

Entry 8:
For Rb6Te2F, a DFT-relaxed cell (PBE, Alexandria) gives the theoretical powder diffraction line list in this record (Cu Kα).
Lines closer than 0.1° are merged.

Top 10 peaks for 2θ from 10° to 80°, sorted by position:
two_theta, d_spacing, I (rel.)
18.02, 4.921, 22
18.53, 4.789, 19
21.14, 4.204, 18
29.43, 3.035, 30
30.06, 2.972, 100
30.69, 2.914, 23
43.04, 2.102, 27
52.60, 1.740, 20
54.17, 1.693, 17
70.89, 1.329, 15

Atomic structure:
Cell: 10.1629 10.1629 10.1629 Å, 145.25 131.14 61.35°
Positions (direct):
Rb1 0.0837 0.3417 0.7420
Rb2 0.2376 0.0000 0.2376
Rb3 0.4003 0.6583 0.7420
Rb4 0.5997 0.3417 0.2580
Rb5 0.7624 0.0000 0.7624
Rb6 0.9163 0.6583 0.2580
Te1 0.3352 0.8352 0.5000
Te2 0.6648 0.1648 0.5000
F1 0.0000 0.5000 0.5000

=====

Entry 9:
For Rb2TlTeF6, a DFT-relaxed cell (PBE, Alexandria) gives the theoretical powder diffraction line list in this record (Cu Kα).
Lines closer than 0.1° are merged.

Top 10 peaks for 2θ from 10° to 80°, sorted by position:
two_theta, d_spacing, I (rel.)
18.69, 4.748, 18
25.20, 3.533, 100
26.55, 3.358, 44
33.90, 2.645, 21
37.90, 2.374, 30
43.56, 2.078, 24
46.06, 1.971, 38
51.74, 1.767, 23
65.91, 1.417, 12
69.26, 1.357, 13

Atomic structure:
Cell: 7.1080 7.1080 7.1080 Å, 123.62 123.62 83.83°
Positions (direct):
Rb1 0.2500 0.7500 0.5000
Rb2 0.7500 0.2500 0.5000
Tl1 0.0000 0.0000 0.0000
Te1 0.5000 0.5000 0.0000
F1 0.2458 0.2458 0.0000
F2 0.2785 0.2785 0.5571
F3 0.2785 0.7215 0.0000
F4 0.7215 0.2785 0.0000
F5 0.7215 0.7215 0.4429
F6 0.7542 0.7542 0.0000

=====

Entry 10:
For RbThF5, a DFT-relaxed cell (PBE, Alexandria) gives the theoretical powder diffraction line list in this record (Cu Kα).
Lines closer than 0.1° are merged.

Top 10 peaks for 2θ from 10° to 80°, sorted by position:
two_theta, d_spacing, I (rel.)
10.11, 8.747, 41
17.32, 5.121, 46
19.84, 4.475, 60
23.85, 3.730, 40
24.76, 3.596, 100
24.89, 3.577, 34
27.93, 3.194, 33
28.26, 3.158, 32
46.08, 1.970, 25
47.96, 1.897, 25

Atomic structure:
Cell: 9.0487 9.0487 6.3228 Å, 90.68 90.68 150.33°
Positions (direct):
Rb1 0.1814 0.8186 0.7500
Rb2 0.8186 0.1814 0.2500
Th1 0.4261 0.5739 0.7500
Th2 0.5739 0.4261 0.2500
F1 0.1059 0.8941 0.2500
F2 0.2466 0.3086 0.4120
F3 0.3086 0.2466 0.9120
F4 0.3110 0.6549 0.9753
F5 0.3451 0.6890 0.5247
F6 0.6549 0.3110 0.4753
F7 0.6890 0.3451 0.0247
F8 0.6914 0.7534 0.0880
F9 0.7534 0.6914 0.5880
F10 0.8941 0.1059 0.7500